Entry 1:
This entry pairs a crystal structure of SnTe2O4 with its calculated PXRD pattern. Radiation: CuKα. Structure: the PBE geometry in the Materials Project.
Peak positions follow from Bragg's law for the DFT cell and can differ from measured ones.

The 10 most intense peaks (15 to 90 degrees two-theta), in order of falling intensity:
2θ = 29.73°, intensity 100
2θ = 30.01°, intensity 59
2θ = 53.12°, intensity 41
2θ = 42.96°, intensity 30
2θ = 52.59°, intensity 22
2θ = 61.75°, intensity 18
2θ = 42.14°, intensity 14
2θ = 86.34°, intensity 12
2θ = 85.92°, intensity 11
2θ = 85.22°, intensity 11

Atomic structure:
Unit cell a=7.0892 b=7.0892 c=7.0892 alpha=145.45 beta=145.45 gamma=49.67
Element x y z (fractional)
Sn  0.0000  0.0000  0.0000
Te  0.3415  0.3415  0.0000
Te  0.6585  0.6585  0.0000
O  0.0000  0.5000  0.5000
O  0.1913  0.1913  0.0000
O  0.5000  0.0000  0.5000
O  0.8087  0.8087  0.0000

Entry 2:
This entry pairs a crystal structure of SnTe3O8 with its calculated PXRD pattern. Radiation: CuKα. Structure: the PBE geometry in the Materials Project.
Peak positions follow from Bragg's law for the DFT cell and can differ from measured ones.

The 10 most intense peaks (15 to 90 degrees two-theta), in order of falling intensity:
2θ = 27.00°, intensity 100
2θ = 19.00°, intensity 35
2θ = 31.28°, intensity 32
2θ = 44.82°, intensity 28
2θ = 29.21°, intensity 23
2θ = 53.11°, intensity 23
2θ = 33.23°, intensity 15
2θ = 86.83°, intensity 13
2θ = 40.20°, intensity 12
2θ = 60.57°, intensity 12

Atomic structure:
Unit cell a=9.9069 b=9.9069 c=9.9069 alpha=109.47 beta=109.47 gamma=109.47
Element x y z (fractional)
Sn  0.0000  0.0000  0.0000
Sn  0.0000  0.5000  0.5000
Sn  0.5000  0.0000  0.5000
Sn  0.5000  0.5000  0.0000
Te  0.0515  0.3015  0.7500
Te  0.1985  0.2500  0.4485
Te  0.2500  0.4485  0.1985
Te  0.2500  0.9485  0.6985
Te  0.3015  0.7500  0.0515
Te  0.4485  0.1985  0.2500
Te  0.5515  0.8015  0.7500
Te  0.6985  0.2500  0.9485
Te  0.7500  0.0515  0.3015
Te  0.7500  0.5515  0.8015
Te  0.8015  0.7500  0.5515
Te  0.9485  0.6985  0.2500
O  0.0000  0.1702  0.5000
O  0.0000  0.8298  0.5000
O  0.0236  0.0715  0.2337
O  0.0479  0.4764  0.7100
O  0.0715  0.2337  0.0236
O  0.1622  0.4285  0.4521
O  0.1702  0.5000  0.0000
O  0.2100  0.7337  0.6622
O  0.2337  0.0236  0.0715
O  0.2663  0.3378  0.7900
O  0.2900  0.9521  0.5236
O  0.3298  0.3298  0.3298
O  0.3378  0.7900  0.2663
O  0.4285  0.4521  0.1622
O  0.4521  0.1622  0.4285
O  0.4764  0.7100  0.0478
O  0.5000  0.0000  0.1702
O  0.5000  0.0000  0.8298
O  0.5236  0.2900  0.9521
O  0.5478  0.8378  0.5715
O  0.5715  0.5478  0.8378
O  0.6622  0.2100  0.7337
O  0.6702  0.6702  0.6702
O  0.7100  0.0479  0.4764
O  0.7337  0.6622  0.2100
O  0.7663  0.9764  0.9285
O  0.7900  0.2663  0.3378
O  0.8298  0.5000  0.0000
O  0.8378  0.5715  0.5478
O  0.9285  0.7663  0.9764
O  0.9521  0.5236  0.2900
O  0.9764  0.9285  0.7663

Entry 3:
This entry pairs a crystal structure of Zn4Sn5Te3O18 with its calculated PXRD pattern. Radiation: CuKα. Structure: the PBE geometry in the Materials Project.
Peak positions follow from Bragg's law for the DFT cell and can differ from measured ones.

The 10 most intense peaks (15 to 90 degrees two-theta), in order of falling intensity:
2θ = 30.52°, intensity 100
2θ = 30.87°, intensity 70
2θ = 33.41°, intensity 63
2θ = 27.14°, intensity 49
2θ = 52.73°, intensity 42
2θ = 33.48°, intensity 41
2θ = 33.79°, intensity 38
2θ = 52.37°, intensity 27
2θ = 33.95°, intensity 24
2θ = 27.66°, intensity 19

Atomic structure:
Unit cell a=9.1924 b=9.1924 c=11.3176 alpha=90.65 beta=90.65 gamma=60.93
Element x y z (fractional)
Zn  0.0267  0.0267  0.2072
Zn  0.3024  0.2920  0.1767
Zn  0.4024  0.0046  0.3220
Zn  0.6784  0.2660  0.2916
Zn  0.7080  0.6976  0.8233
Zn  0.7340  0.3217  0.7084
Zn  0.9733  0.9733  0.7928
Zn  0.9954  0.5976  0.6780
Sn  0.0575  0.6467  0.0042
Sn  0.1605  0.8395  0.5000
Sn  0.2357  0.0902  0.6989
Sn  0.3529  0.3508  0.4989
Sn  0.3533  0.9425  0.9958
Sn  0.4602  0.2070  0.8092
Sn  0.5319  0.4681  0.0000
Sn  0.6492  0.6471  0.5011
Sn  0.7930  0.5398  0.1908
Sn  0.9098  0.7643  0.3011
Te  0.0099  0.2910  0.9572
Te  0.3519  0.6446  0.7419
Te  0.3554  0.6481  0.2581
Te  0.6927  0.0055  0.5452
Te  0.7090  0.9901  0.0428
Te  0.9945  0.3073  0.4548
O  0.0815  0.0661  0.5708
O  0.0839  0.4436  0.1049
O  0.0951  0.0832  0.0541
O  0.0989  0.7614  0.6638
O  0.1197  0.7494  0.1595
O  0.1447  0.3915  0.5946
O  0.2386  0.9011  0.3362
O  0.2486  0.6002  0.4091
O  0.2506  0.8803  0.8405
O  0.2520  0.1884  0.9268
O  0.2885  0.2570  0.3516
O  0.2940  0.5407  0.9301
O  0.3998  0.7514  0.5909
O  0.4139  0.0403  0.1473
O  0.4516  0.4307  0.6378
O  0.4546  0.1102  0.5779
O  0.4593  0.7060  0.0699
O  0.4660  0.3975  0.1764
O  0.5564  0.9161  0.8951
O  0.5693  0.5484  0.3622
O  0.6025  0.5340  0.8236
O  0.6085  0.8553  0.4054
O  0.6101  0.2075  0.4430
O  0.6154  0.2328  0.9388
O  0.7430  0.7115  0.6484
O  0.7449  0.0967  0.6970
O  0.7672  0.3846  0.0612
O  0.7925  0.3899  0.5570
O  0.7985  0.0394  0.1948
O  0.8116  0.7480  0.0732
O  0.8898  0.5454  0.4221
O  0.9033  0.2551  0.3030
O  0.9168  0.9049  0.9459
O  0.9339  0.9185  0.4292
O  0.9597  0.5861  0.8527
O  0.9606  0.2015  0.8052

Entry 4:
This entry pairs a crystal structure of TiSnO4 with its calculated PXRD pattern. Radiation: CuKα. Structure: the PBE geometry in the Materials Project.
Peak positions follow from Bragg's law for the DFT cell and can differ from measured ones.

The 10 most intense peaks (15 to 90 degrees two-theta), in order of falling intensity:
2θ = 34.40°, intensity 100
2θ = 26.37°, intensity 75
2θ = 26.63°, intensity 72
2θ = 51.91°, intensity 48
2θ = 52.20°, intensity 48
2θ = 66.13°, intensity 41
2θ = 37.83°, intensity 26
2θ = 16.87°, intensity 19
2θ = 54.86°, intensity 13
2θ = 39.52°, intensity 13

Atomic structure:
Unit cell a=5.6849 b=5.6849 c=7.4459 alpha=108.06 beta=108.06 gamma=72.14
Element x y z (fractional)
Ti  0.0000  0.0000  0.0000
Ti  0.0211  0.0211  0.5050
Ti  0.3399  0.3399  0.8190
Sn  0.3436  0.3436  0.3175
Sn  0.6772  0.6772  0.1482
Sn  0.6819  0.6819  0.6531
O  0.0498  0.6543  0.8308
O  0.1160  0.1160  0.7752
O  0.2445  0.2445  0.5304
O  0.3116  0.7185  0.4802
O  0.3612  0.9784  0.1420
O  0.4387  0.4387  0.1040
O  0.5653  0.5653  0.8450
O  0.6543  0.0498  0.8308
O  0.7185  0.3116  0.4802
O  0.7922  0.7922  0.4523
O  0.9164  0.9164  0.1912
O  0.9784  0.3612  0.1420

Entry 5:
This entry pairs a crystal structure of Ti3Sn2O10 with its calculated PXRD pattern. Radiation: CuKα. Structure: the PBE geometry in the Materials Project.
Peak positions follow from Bragg's law for the DFT cell and can differ from measured ones.

The 10 most intense peaks (15 to 90 degrees two-theta), in order of falling intensity:
2θ = 26.67°, intensity 100
2θ = 34.71°, intensity 65
2θ = 52.47°, intensity 65
2θ = 66.65°, intensity 21
2θ = 54.95°, intensity 19
2θ = 38.08°, intensity 16
2θ = 62.11°, intensity 14
2θ = 66.77°, intensity 14
2θ = 39.76°, intensity 11
2θ = 79.43°, intensity 10

Atomic structure:
Unit cell a=4.7261 b=4.7261 c=15.4328 alpha=90.00 beta=90.00 gamma=90.04
Element x y z (fractional)
Ti  0.0000  0.0000  0.0000
Ti  0.0000  0.0000  0.1916
Ti  0.0000  0.0000  0.6001
Ti  0.0000  0.0000  0.7996
Ti  0.5000  0.5000  0.0998
Ti  0.5000  0.5000  0.5019
Sn  0.0000  0.0000  0.4009
Sn  0.5000  0.5000  0.2968
Sn  0.5000  0.5000  0.6979
Sn  0.5000  0.5000  0.9019
O  0.1862  0.8138  0.9007
O  0.1866  0.8134  0.7000
O  0.1905  0.8095  0.2934
O  0.1931  0.8069  0.0983
O  0.1994  0.8006  0.5060
O  0.2966  0.2966  0.7998
O  0.3002  0.3002  0.0050
O  0.2998  0.2998  0.5951
O  0.3013  0.3013  0.1917
O  0.3095  0.3095  0.4038
O  0.6905  0.6905  0.4038
O  0.6987  0.6987  0.1917
O  0.6998  0.6998  0.0050
O  0.7002  0.7002  0.5951
O  0.7034  0.7034  0.7998
O  0.8006  0.1994  0.5060
O  0.8069  0.1931  0.0983
O  0.8095  0.1905  0.2934
O  0.8134  0.1866  0.7000
O  0.8138  0.1862  0.9007

Entry 6:
This entry pairs a crystal structure of TiSnO4 with its calculated PXRD pattern. Radiation: CuKα. Structure: the PBE geometry in the Materials Project.
Peak positions follow from Bragg's law for the DFT cell and can differ from measured ones.

The 10 most intense peaks (15 to 90 degrees two-theta), in order of falling intensity:
2θ = 24.42°, intensity 100
2θ = 34.70°, intensity 37
2θ = 59.43°, intensity 24
2θ = 53.35°, intensity 23
2θ = 46.66°, intensity 22
2θ = 36.98°, intensity 22
2θ = 49.89°, intensity 20
2θ = 70.69°, intensity 13
2θ = 17.13°, intensity 12
2θ = 63.65°, intensity 11

Atomic structure:
Unit cell a=5.8625 b=5.8625 c=5.8625 alpha=141.21 beta=141.21 gamma=56.02
Element x y z (fractional)
Ti  0.0000  0.0000  0.0000
Sn  0.2500  0.7500  0.5000
O  0.0428  0.5428  0.5000
O  0.1940  0.1940  0.0000
O  0.4572  0.9572  0.5000
O  0.8060  0.8060  0.0000

Entry 7:
This entry pairs a crystal structure of TiSnO4 with its calculated PXRD pattern. Radiation: CuKα. Structure: the PBE geometry in the Materials Project.
Peak positions follow from Bragg's law for the DFT cell and can differ from measured ones.

The 10 most intense peaks (15 to 90 degrees two-theta), in order of falling intensity:
2θ = 26.55°, intensity 100
2θ = 34.54°, intensity 68
2θ = 52.16°, intensity 34
2θ = 18.69°, intensity 33
2θ = 52.27°, intensity 31
2θ = 66.33°, intensity 29
2θ = 39.59°, intensity 20
2θ = 37.91°, intensity 18
2θ = 42.53°, intensity 12
2θ = 54.79°, intensity 9

Atomic structure:
Unit cell a=4.7469 b=4.7469 c=3.1021 alpha=90.00 beta=90.00 gamma=90.20
Element x y z (fractional)
Ti  0.0000  0.0000  0.0000
Sn  0.5000  0.5000  0.5000
O  0.1860  0.8140  0.5000
O  0.2966  0.2966  0.0000
O  0.7034  0.7034  0.0000
O  0.8140  0.1860  0.5000

Entry 8:
This entry pairs a crystal structure of Ti9SnO20 with its calculated PXRD pattern. Radiation: CuKα. Structure: the PBE geometry in the Materials Project.
Peak positions follow from Bragg's law for the DFT cell and can differ from measured ones.

The 10 most intense peaks (15 to 90 degrees two-theta), in order of falling intensity:
2θ = 26.98°, intensity 100
2θ = 53.45°, intensity 60
2θ = 35.59°, intensity 51
2θ = 67.79°, intensity 22
2θ = 55.62°, intensity 18
2θ = 40.64°, intensity 16
2θ = 62.88°, intensity 10
2θ = 38.52°, intensity 10
2θ = 68.80°, intensity 9
2θ = 87.99°, intensity 8

Atomic structure:
Unit cell a=7.5986 b=7.5986 c=7.2588 alpha=94.03 beta=94.03 gamma=51.56
Element x y z (fractional)
Ti  0.0000  0.0000  0.0000
Ti  0.2024  0.2024  0.1982
Ti  0.2044  0.2044  0.7042
Ti  0.3998  0.3998  0.4021
Ti  0.4010  0.4010  0.9024
Ti  0.5990  0.5990  0.0976
Ti  0.6002  0.6002  0.5979
Ti  0.7956  0.7956  0.2958
Ti  0.7976  0.7976  0.8018
Sn  0.0000  0.0000  0.5000
O  0.0627  0.0627  0.2498
O  0.0954  0.6929  0.3937
O  0.1067  0.4955  0.8010
O  0.1389  0.1389  0.9437
O  0.2600  0.2600  0.4531
O  0.3060  0.6940  0.0000
O  0.3071  0.9046  0.6063
O  0.3383  0.3383  0.1406
O  0.4611  0.4611  0.6547
O  0.4955  0.1067  0.8010
O  0.5045  0.8933  0.1990
O  0.5389  0.5389  0.3453
O  0.6617  0.6617  0.8594
O  0.6929  0.0954  0.3937
O  0.6940  0.3060  0.0000
O  0.7400  0.7400  0.5469
O  0.8611  0.8611  0.0563
O  0.8933  0.5045  0.1990
O  0.9046  0.3071  0.6063
O  0.9373  0.9373  0.7502

Entry 9:
This entry pairs a crystal structure of Ti2Sn3O10 with its calculated PXRD pattern. Radiation: CuKα. Structure: the PBE geometry in the Materials Project.
Peak positions follow from Bragg's law for the DFT cell and can differ from measured ones.

The 10 most intense peaks (15 to 90 degrees two-theta), in order of falling intensity:
2θ = 26.48°, intensity 100
2θ = 34.17°, intensity 72
2θ = 51.86°, intensity 67
2θ = 65.94°, intensity 22
2θ = 37.80°, intensity 19
2θ = 54.52°, intensity 17
2θ = 65.53°, intensity 15
2θ = 61.61°, intensity 14
2θ = 84.29°, intensity 9
2θ = 58.72°, intensity 8

Atomic structure:
Unit cell a=4.7604 b=4.7604 c=15.7227 alpha=90.00 beta=90.00 gamma=90.09
Element x y z (fractional)
Ti  0.0000  0.0000  0.0000
Ti  0.0000  0.0000  0.1935
Ti  0.0000  0.0000  0.6011
Ti  0.5000  0.5000  0.6939
Sn  0.0000  0.0000  0.3970
Sn  0.0000  0.0000  0.7957
Sn  0.5000  0.5000  0.0962
Sn  0.5000  0.5000  0.2951
Sn  0.5000  0.5000  0.5014
Sn  0.5000  0.5000  0.8965
O  0.1857  0.8143  0.0966
O  0.1900  0.8100  0.2912
O  0.1901  0.8099  0.5030
O  0.1901  0.8099  0.9013
O  0.1983  0.8017  0.6916
O  0.2968  0.2968  0.1951
O  0.2968  0.2968  0.9976
O  0.3013  0.3013  0.6038
O  0.3061  0.3061  0.3979
O  0.3096  0.3096  0.7918
O  0.6904  0.6904  0.7918
O  0.6939  0.6939  0.3979
O  0.6987  0.6987  0.6038
O  0.7032  0.7032  0.1951
O  0.7032  0.7032  0.9976
O  0.8017  0.1983  0.6916
O  0.8100  0.1900  0.2912
O  0.8099  0.1901  0.5030
O  0.8099  0.1901  0.9013
O  0.8143  0.1857  0.0966

Please write out number 9 again, unchanged.
This entry pairs a crystal structure of Ti2Sn3O10 with its calculated PXRD pattern. Radiation: CuKα. Structure: the PBE geometry in the Materials Project.
Peak positions follow from Bragg's law for the DFT cell and can differ from measured ones.

The 10 most intense peaks (15 to 90 degrees two-theta), in order of falling intensity:
2θ = 26.48°, intensity 100
2θ = 34.17°, intensity 72
2θ = 51.86°, intensity 67
2θ = 65.94°, intensity 22
2θ = 37.80°, intensity 19
2θ = 54.52°, intensity 17
2θ = 65.53°, intensity 15
2θ = 61.61°, intensity 14
2θ = 84.29°, intensity 9
2θ = 58.72°, intensity 8

Atomic structure:
Unit cell a=4.7604 b=4.7604 c=15.7227 alpha=90.00 beta=90.00 gamma=90.09
Element x y z (fractional)
Ti  0.0000  0.0000  0.0000
Ti  0.0000  0.0000  0.1935
Ti  0.0000  0.0000  0.6011
Ti  0.5000  0.5000  0.6939
Sn  0.0000  0.0000  0.3970
Sn  0.0000  0.0000  0.7957
Sn  0.5000  0.5000  0.0962
Sn  0.5000  0.5000  0.2951
Sn  0.5000  0.5000  0.5014
Sn  0.5000  0.5000  0.8965
O  0.1857  0.8143  0.0966
O  0.1900  0.8100  0.2912
O  0.1901  0.8099  0.5030
O  0.1901  0.8099  0.9013
O  0.1983  0.8017  0.6916
O  0.2968  0.2968  0.1951
O  0.2968  0.2968  0.9976
O  0.3013  0.3013  0.6038
O  0.3061  0.3061  0.3979
O  0.3096  0.3096  0.7918
O  0.6904  0.6904  0.7918
O  0.6939  0.6939  0.3979
O  0.6987  0.6987  0.6038
O  0.7032  0.7032  0.1951
O  0.7032  0.7032  0.9976
O  0.8017  0.1983  0.6916
O  0.8100  0.1900  0.2912
O  0.8099  0.1901  0.5030
O  0.8099  0.1901  0.9013
O  0.8143  0.1857  0.0966